Calculated powder diffraction line list of Sr2Ga2Ag3 for Cu Ka, from a crystal structure in Alexandria, relaxed with PBE.

Unit cell a=10.394 b=10.394 c=7.481 alpha=90.00 beta=90.00 gamma=154.55
Positions (direct):
Sr 0.056 0.944 0.750
Sr 0.160 0.840 0.250
Sr 0.840 0.160 0.750
Sr 0.944 0.056 0.250
Ga 0.309 0.691 0.064
Ga 0.309 0.691 0.436
Ga 0.691 0.309 0.564
Ga 0.691 0.309 0.936
Ag 0.222 0.778 0.750
Ag 0.436 0.564 0.562
Ag 0.436 0.564 0.938
Ag 0.564 0.436 0.062
Ag 0.564 0.436 0.438
Ag 0.778 0.222 0.250

The 10 most intense peaks (2θ = 10–90°), low angle first:
28.99°, rel. 19; 31.19°, rel. 100; 31.81°, rel. 97; 35.42°, rel. 32; 39.36°, rel. 52; 40.31°, rel. 41; 43.44°, rel. 29; 44.22°, rel. 33; 57.60°, rel. 27; 66.29°, rel. 22

=====

Calculated powder diffraction line list of SrGa3Ag5 for Cu Ka, from a crystal structure in Alexandria, relaxed with PBE.

Unit cell a=7.259 b=7.259 c=13.251 alpha=90.00 beta=90.00 gamma=146.84
Positions (direct):
Sr 0.165 0.835 0.750
Sr 0.835 0.165 0.250
Ga 0.126 0.874 0.250
Ga 0.380 0.620 0.052
Ga 0.380 0.620 0.448
Ga 0.620 0.380 0.552
Ga 0.620 0.380 0.948
Ga 0.874 0.126 0.750
Ag 0.000 0.000 0.000
Ag 0.000 0.000 0.500
Ag 0.196 0.804 0.064
Ag 0.196 0.804 0.436
Ag 0.449 0.551 0.646
Ag 0.449 0.551 0.854
Ag 0.551 0.449 0.146
Ag 0.551 0.449 0.354
Ag 0.804 0.196 0.564
Ag 0.804 0.196 0.936

The 10 most intense peaks (2θ = 10–90°), low angle first:
13.36°, rel. 54; 28.92°, rel. 54; 30.27°, rel. 89; 31.96°, rel. 52; 35.28°, rel. 100; 38.99°, rel. 59; 40.94°, rel. 58; 41.39°, rel. 66; 42.94°, rel. 64; 43.70°, rel. 78

=====

Calculated powder diffraction line list of SrGa6Ag2 for Cu Ka, from a crystal structure in Alexandria, relaxed with PBE.

Unit cell a=8.062 b=8.062 c=3.269 alpha=90.00 beta=90.00 gamma=120.00
Positions (direct):
Sr 0.000 0.000 0.000
Ga 0.000 0.346 0.500
Ga 0.000 0.654 0.500
Ga 0.346 0.000 0.500
Ga 0.346 0.346 0.500
Ga 0.654 0.000 0.500
Ga 0.654 0.654 0.500
Ag 0.333 0.667 0.000
Ag 0.667 0.333 0.000

The 10 most intense peaks (2θ = 10–90°), low angle first:
12.68°, rel. 4; 22.05°, rel. 5; 35.35°, rel. 100; 38.69°, rel. 76; 53.40°, rel. 29; 56.28°, rel. 8; 67.87°, rel. 27; 70.02°, rel. 12; 70.38°, rel. 25; 82.98°, rel. 7

=====

Calculated powder diffraction line list of SrGa7Ag12 for Cu Ka, from a crystal structure in Alexandria, relaxed with PBE.

Unit cell a=8.259 b=8.259 c=8.259 alpha=112.06 beta=112.06 gamma=112.06
Positions (direct):
Sr 0.000 0.000 0.000
Ga 0.180 0.180 0.533
Ga 0.180 0.533 0.180
Ga 0.467 0.820 0.820
Ga 0.500 0.500 0.500
Ga 0.533 0.180 0.180
Ga 0.820 0.467 0.820
Ga 0.820 0.820 0.467
Ag 0.000 0.262 0.738
Ag 0.000 0.738 0.262
Ag 0.097 0.423 0.423
Ag 0.262 0.000 0.738
Ag 0.262 0.738 0.000
Ag 0.423 0.097 0.423
Ag 0.423 0.423 0.097
Ag 0.577 0.577 0.903
Ag 0.577 0.903 0.577
Ag 0.738 0.000 0.262
Ag 0.738 0.262 0.000
Ag 0.903 0.577 0.577

The 10 most intense peaks (2θ = 10–90°), low angle first:
29.90°, rel. 50; 32.70°, rel. 28; 35.29°, rel. 34; 37.17°, rel. 57; 37.83°, rel. 48; 39.48°, rel. 100; 41.74°, rel. 31; 45.91°, rel. 18; 55.79°, rel. 35; 60.47°, rel. 18